Calculated XRD peak list of TbFe2Ge2 for Cu Kα, from a cell relaxed with PBE.
Lines closer than 0.1° are merged.

Cell and atoms:
```
data_TbFe2Ge2
_chemical_formula_sum 'Tb2 Fe4 Ge4'
_cell_length_a 3.9532
_cell_length_b 3.9532
_cell_length_c 10.7034
_cell_angle_alpha 90.00
_cell_angle_beta 90.00
_cell_angle_gamma 90.00
_space_group_name_H-M_alt 'I 4/m m m'
_space_group_IT_number 139
_space_group_name_Hall '-I 4 2'
loop_
_atom_site_label
_atom_site_type_symbol
_atom_site_fract_x
_atom_site_fract_y
_atom_site_fract_z
Tb1 Tb 0.0000 0.0000 0.0000
Fe1 Fe 0.0000 0.5000 0.2500
Ge1 Ge 0.0000 0.0000 0.3819
```

Principal peaks in the range 15° ≤ 2θ ≤ 90°, by angle:
| 2θ/deg | I (rel.) |
| --- | --- |
| 32.02 | 30 |
| 33.84 | 90 |
| 36.26 | 100 |
| 45.91 | 55 |
| 48.35 | 43 |
| 58.24 | 38 |
| 61.68 | 14 |
| 66.95 | 17 |
| 68.88 | 29 |
| 77.17 | 8 |
| 78.59 | 20 |
| 88.18 | 16 |

Calculated XRD peak list of TbFe6Ge6 for Cu Kα, from a cell relaxed with PBE.
Lines closer than 0.1° are merged.

Cell and atoms:
```
data_TbFe6Ge6
_chemical_formula_sum 'Tb4 Fe24 Ge24'
_cell_length_a 8.1745
_cell_length_b 17.7431
_cell_length_c 5.1311
_cell_angle_alpha 90.00
_cell_angle_beta 90.00
_cell_angle_gamma 90.00
_space_group_name_H-M_alt 'C m c m'
_space_group_IT_number 63
_space_group_name_Hall '-C 2c 2'
loop_
_atom_site_label
_atom_site_type_symbol
_atom_site_fract_x
_atom_site_fract_y
_atom_site_fract_z
Tb1 Tb 0.0000 0.1272 0.2500
Fe1 Fe 0.2496 0.0000 0.0000
Fe2 Fe 0.2503 0.1250 0.7500
Fe3 Fe 0.2500 0.2500 0.0000
Ge1 Ge 0.0000 0.0420 0.7500
Ge2 Ge 0.0000 0.2115 0.7500
Ge3 Ge 0.0000 0.2954 0.2500
Ge4 Ge 0.0000 0.4593 0.2500
Ge5 Ge 0.1532 0.3757 0.7500
```

Principal peaks in the range 15° ≤ 2θ ≤ 90°, by angle:
| 2θ/deg | I (rel.) |
| --- | --- |
| 35.01 | 71 |
| 37.72 | 15 |
| 40.47 | 12 |
| 40.64 | 51 |
| 41.59 | 100 |
| 44.32 | 24 |
| 46.56 | 40 |
| 49.06 | 21 |
| 62.79 | 13 |
| 67.29 | 23 |
| 74.00 | 19 |
| 79.70 | 26 |

Calculated XRD peak list of TiFeGe2 for Cu Kα, from a cell relaxed with PBE.
Lines closer than 0.1° are merged.

Cell and atoms:
```
data_TiFeGe2
_chemical_formula_sum 'Ti12 Fe12 Ge24'
_cell_length_a 8.8607
_cell_length_b 9.9379
_cell_length_c 7.7730
_cell_angle_alpha 90.00
_cell_angle_beta 90.00
_cell_angle_gamma 90.00
_space_group_name_H-M_alt 'P b a m'
_space_group_IT_number 55
_space_group_name_Hall '-P 2 2ab'
loop_
_atom_site_label
_atom_site_type_symbol
_atom_site_fract_x
_atom_site_fract_y
_atom_site_fract_z
Ti1 Ti 0.1647 0.1790 0.0000
Ti2 Ti 0.1725 0.4512 0.2416
Fe1 Fe 0.0000 0.0000 0.2437
Fe2 Fe 0.0920 0.7472 0.2474
Ge1 Ge 0.0394 0.6199 0.0000
Ge2 Ge 0.0466 0.6195 0.5000
Ge3 Ge 0.1308 0.9037 0.5000
Ge4 Ge 0.1332 0.9001 0.0000
Ge5 Ge 0.1604 0.1819 0.3379
```

Principal peaks in the range 15° ≤ 2θ ≤ 90°, by angle:
| 2θ/deg | I (rel.) |
| --- | --- |
| 37.60 | 48 |
| 39.37 | 84 |
| 40.94 | 62 |
| 41.20 | 100 |
| 41.38 | 20 |
| 41.78 | 39 |
| 43.22 | 73 |
| 46.76 | 41 |
| 48.08 | 21 |
| 52.22 | 25 |
| 69.53 | 22 |
| 81.75 | 16 |

Calculated XRD peak list of TiFeGe for Cu Kα, from a cell relaxed with PBE.
Lines closer than 0.1° are merged.

Cell and atoms:
```
data_TiFeGe
_chemical_formula_sum 'Ti12 Fe12 Ge12'
_cell_length_a 7.0981
_cell_length_b 10.9863
_cell_length_c 6.4064
_cell_angle_alpha 90.00
_cell_angle_beta 90.00
_cell_angle_gamma 90.00
_space_group_name_H-M_alt 'I m a 2'
_space_group_IT_number 46
_space_group_name_Hall 'I 2 -2a'
loop_
_atom_site_label
_atom_site_type_symbol
_atom_site_fract_x
_atom_site_fract_y
_atom_site_fract_z
Ti1 Ti 0.2500 0.0012 0.0000
Ti2 Ti 0.2500 0.2264 0.3510
Ti3 Ti 0.2500 0.6965 0.8862
Fe1 Fe 0.0000 0.0000 0.3373
Fe2 Fe 0.0377 0.6232 0.2083
Ge1 Ge 0.0061 0.6673 0.5820
Ge2 Ge 0.2500 0.0320 0.5904
```

Principal peaks in the range 15° ≤ 2θ ≤ 90°, by angle:
| 2θ/deg | I (rel.) |
| --- | --- |
| 28.07 | 17 |
| 37.83 | 31 |
| 38.00 | 67 |
| 41.38 | 100 |
| 41.58 | 39 |
| 43.14 | 29 |
| 43.40 | 19 |
| 43.54 | 21 |
| 49.40 | 30 |
| 50.57 | 23 |
| 50.79 | 17 |
| 51.50 | 34 |

Calculated XRD peak list of TmFe2Ge2 for Cu Kα, from a cell relaxed with PBE.
Lines closer than 0.1° are merged.

Cell and atoms:
```
data_TmFe2Ge2
_chemical_formula_sum 'Tm2 Fe4 Ge4'
_cell_length_a 3.9480
_cell_length_b 3.9480
_cell_length_c 10.1780
_cell_angle_alpha 90.00
_cell_angle_beta 90.00
_cell_angle_gamma 90.00
_space_group_name_H-M_alt 'I 4/m m m'
_space_group_IT_number 139
_space_group_name_Hall '-I 4 2'
loop_
_atom_site_label
_atom_site_type_symbol
_atom_site_fract_x
_atom_site_fract_y
_atom_site_fract_z
Tm1 Tm 0.0000 0.0000 0.0000
Fe1 Fe 0.0000 0.5000 0.2500
Ge1 Ge 0.0000 0.0000 0.3744
```

Principal peaks in the range 15° ≤ 2θ ≤ 90°, by angle:
| 2θ/deg | I (rel.) |
| --- | --- |
| 24.18 | 12 |
| 32.06 | 33 |
| 34.87 | 100 |
| 36.72 | 93 |
| 45.98 | 57 |
| 50.44 | 34 |
| 58.97 | 44 |
| 64.25 | 18 |
| 67.05 | 18 |
| 70.62 | 25 |
| 77.86 | 10 |
| 78.96 | 19 |

Calculated XRD peak list of Tm9Fe10Ge10 for Cu Kα, from a cell relaxed with PBE.
Lines closer than 0.1° are merged.

Cell and atoms:
```
data_Tm9Fe10Ge10
_chemical_formula_sum 'Tm18 Fe20 Ge20'
_cell_length_a 5.3595
_cell_length_b 13.2349
_cell_length_c 13.9636
_cell_angle_alpha 90.00
_cell_angle_beta 90.00
_cell_angle_gamma 90.00
_space_group_name_H-M_alt 'I m m m'
_space_group_IT_number 71
_space_group_name_Hall '-I 2 2'
loop_
_atom_site_label
_atom_site_type_symbol
_atom_site_fract_x
_atom_site_fract_y
_atom_site_fract_z
Tm1 Tm 0.0000 0.0000 0.0000
Tm2 Tm 0.0000 0.1466 0.3648
Tm3 Tm 0.0000 0.2795 0.0000
Tm4 Tm 0.0000 0.5000 0.1968
Fe1 Fe 0.0000 0.5000 0.4070
Fe2 Fe 0.2430 0.3564 0.3457
Ge1 Ge 0.0000 0.0000 0.2083
Ge2 Ge 0.0000 0.2879 0.2051
Ge3 Ge 0.0000 0.3281 0.5000
Ge4 Ge 0.2477 0.5000 0.0000
```

Principal peaks in the range 15° ≤ 2θ ≤ 90°, by angle:
| 2θ/deg | I (rel.) |
| --- | --- |
| 32.44 | 84 |
| 33.44 | 54 |
| 36.27 | 80 |
| 36.87 | 100 |
| 37.45 | 71 |
| 38.69 | 34 |
| 39.39 | 72 |
| 39.89 | 60 |
| 40.91 | 34 |
| 45.76 | 34 |
| 61.65 | 36 |
| 63.44 | 34 |

Calculated XRD peak list of TmFe6Ge6 for Cu Kα, from a cell relaxed with PBE.
Lines closer than 0.1° are merged.

Cell and atoms:
```
data_TmFe6Ge6
_chemical_formula_sum 'Tm6 Fe36 Ge36'
_cell_length_a 5.1319
_cell_length_b 8.1077
_cell_length_c 26.5470
_cell_angle_alpha 90.00
_cell_angle_beta 90.00
_cell_angle_gamma 90.00
_space_group_name_H-M_alt 'I m m m'
_space_group_IT_number 71
_space_group_name_Hall '-I 2 2'
loop_
_atom_site_label
_atom_site_type_symbol
_atom_site_fract_x
_atom_site_fract_y
_atom_site_fract_z
Tm1 Tm 0.0000 0.0000 0.0000
Tm2 Tm 0.0000 0.5000 0.3322
Fe1 Fe 0.0000 0.2499 0.1665
Fe2 Fe 0.0000 0.2502 0.5000
Fe3 Fe 0.2499 0.2498 0.0833
Fe4 Fe 0.2500 0.2500 0.2500
Ge1 Ge 0.0000 0.0000 0.1122
Ge2 Ge 0.0000 0.0000 0.2232
Ge3 Ge 0.0000 0.0000 0.4447
Ge4 Ge 0.0000 0.1535 0.3336
Ge5 Ge 0.0000 0.3457 0.0000
Ge6 Ge 0.0000 0.5000 0.1105
Ge7 Ge 0.0000 0.5000 0.2204
Ge8 Ge 0.0000 0.5000 0.4446
```

Principal peaks in the range 15° ≤ 2θ ≤ 90°, by angle:
| 2θ/deg | I (rel.) |
| --- | --- |
| 34.97 | 36 |
| 35.09 | 72 |
| 40.64 | 53 |
| 40.79 | 25 |
| 41.66 | 50 |
| 41.76 | 100 |
| 44.71 | 36 |
| 46.65 | 37 |
| 46.80 | 32 |
| 67.36 | 23 |
| 74.16 | 28 |
| 80.37 | 26 |

Calculated XRD peak list of Tm4Fe3Ge4 for Cu Kα, from a cell relaxed with PBE.
Lines closer than 0.1° are merged.

Cell and atoms:
```
data_Tm4Fe3Ge4
_chemical_formula_sum 'Tm8 Fe6 Ge8'
_cell_length_a 3.2636
_cell_length_b 9.0330
_cell_length_c 14.5886
_cell_angle_alpha 90.00
_cell_angle_beta 90.00
_cell_angle_gamma 90.00
_space_group_name_H-M_alt 'I m m m'
_space_group_IT_number 71
_space_group_name_Hall '-I 2 2'
loop_
_atom_site_label
_atom_site_type_symbol
_atom_site_fract_x
_atom_site_fract_y
_atom_site_fract_z
Tm1 Tm 0.0000 0.1827 0.1517
Fe1 Fe 0.0000 0.0000 0.3986
Fe2 Fe 0.0000 0.5000 0.5000
Ge1 Ge 0.0000 0.3594 0.0000
Ge2 Ge 0.0000 0.5000 0.2257
```

Principal peaks in the range 15° ≤ 2θ ≤ 90°, by angle:
| 2θ/deg | I (rel.) |
| --- | --- |
| 28.02 | 35 |
| 31.53 | 27 |
| 33.06 | 47 |
| 34.46 | 44 |
| 35.05 | 100 |
| 38.33 | 66 |
| 40.77 | 28 |
| 42.21 | 20 |
| 42.70 | 30 |
| 56.19 | 36 |
| 64.22 | 21 |
| 68.15 | 28 |

Calculated XRD peak list of TmFeGe2 for Cu Kα, from a cell relaxed with PBE.
Lines closer than 0.1° are merged.

Cell and atoms:
```
data_TmFeGe2
_chemical_formula_sum 'Tm4 Fe4 Ge8'
_cell_length_a 4.0688
_cell_length_b 16.7366
_cell_length_c 4.1651
_cell_angle_alpha 90.00
_cell_angle_beta 90.00
_cell_angle_gamma 90.00
_space_group_name_H-M_alt 'C m c m'
_space_group_IT_number 63
_space_group_name_Hall '-C 2c 2'
loop_
_atom_site_label
_atom_site_type_symbol
_atom_site_fract_x
_atom_site_fract_y
_atom_site_fract_z
Tm1 Tm 0.0000 0.1096 0.2500
Fe1 Fe 0.0000 0.3211 0.2500
Ge1 Ge 0.0000 0.2523 0.7500
Ge2 Ge 0.0000 0.4557 0.2500
```

Principal peaks in the range 15° ≤ 2θ ≤ 90°, by angle:
| 2θ/deg | I (rel.) |
| --- | --- |
| 23.86 | 9 |
| 31.19 | 15 |
| 34.75 | 100 |
| 38.86 | 21 |
| 43.45 | 20 |
| 44.54 | 18 |
| 48.71 | 9 |
| 54.23 | 10 |
| 56.77 | 13 |
| 60.56 | 11 |
| 63.98 | 12 |
| 75.68 | 10 |

Calculated XRD peak list of UFe4Ge2 for Cu Kα, from a cell relaxed with PBE.
Lines closer than 0.1° are merged.

Cell and atoms:
```
data_UFe4Ge2
_chemical_formula_sum 'U2 Fe8 Ge4'
_cell_length_a 7.0668
_cell_length_b 7.0668
_cell_length_c 4.0533
_cell_angle_alpha 90.00
_cell_angle_beta 90.00
_cell_angle_gamma 90.00
_space_group_name_H-M_alt 'P 42/m n m'
_space_group_IT_number 136
_space_group_name_Hall '-P 4n 2n'
loop_
_atom_site_label
_atom_site_type_symbol
_atom_site_fract_x
_atom_site_fract_y
_atom_site_fract_z
U1 U 0.0000 0.0000 0.0000
Fe1 Fe 0.1047 0.3641 0.5000
Ge1 Ge 0.2108 0.7892 0.5000
```

Principal peaks in the range 15° ≤ 2θ ≤ 90°, by angle:
| 2θ/deg | I (rel.) |
| --- | --- |
| 17.75 | 14 |
| 25.33 | 32 |
| 36.01 | 100 |
| 40.36 | 31 |
| 42.50 | 18 |
| 44.48 | 19 |
| 44.72 | 22 |
| 46.40 | 22 |
| 58.45 | 14 |
| 61.80 | 18 |
| 70.57 | 15 |
| 76.25 | 16 |